No. 1
Calculated XRD peak list
Compound: MoAsOs2
Radiation: Cu Ka
Structure: a crystal structure in Alexandria, relaxed with PBE
Lines closer than 0.1° are merged.

Structural model:
Cell: 2.9219 4.4516 9.0639 Å, 90.00 90.00 90.00°
Atoms (fractional coordinates):
Mo 0.0000 0.0000 0.0000
Mo 0.5000 0.5000 0.5000
As 0.0000 0.0000 0.5000
As 0.5000 0.5000 0.0000
Os 0.0000 0.5000 0.2229
Os 0.0000 0.5000 0.7771
Os 0.5000 0.0000 0.2771
Os 0.5000 0.0000 0.7229

Peak list (10 most intense, 2θ from 10° to 90°, sorted by position)
2θ (°), I_rel
19.6, 19
35.9, 11
36.8, 10
39.8, 23
40.5, 30
42.0, 100
58.1, 15
73.7, 9
74.7, 18
78.3, 9



No. 2
Calculated XRD peak list
Compound: CeTm2Ga4
Radiation: Cu Ka
Structure: a crystal structure in Alexandria, relaxed with PBE
Lines closer than 0.1° are merged.

Structural model:
Cell: 4.1152 4.2750 18.1033 Å, 90.00 90.00 90.00°
Atoms (fractional coordinates):
Ce 0.0000 0.0000 0.0000
Ce 0.5000 0.5000 0.5000
Tm 0.0000 0.5000 0.3149
Tm 0.0000 0.5000 0.6851
Tm 0.5000 0.0000 0.1851
Tm 0.5000 0.0000 0.8149
Ga 0.0000 0.0000 0.4317
Ga 0.0000 0.0000 0.5683
Ga 0.0000 0.5000 0.1495
Ga 0.0000 0.5000 0.8505
Ga 0.5000 0.0000 0.3505
Ga 0.5000 0.0000 0.6495
Ga 0.5000 0.5000 0.0683
Ga 0.5000 0.5000 0.9317

Peak list (10 most intense, 2θ from 10° to 90°, sorted by position)
2θ (°), I_rel
26.2, 23
31.8, 100
32.4, 49
36.2, 18
41.2, 25
42.3, 26
42.8, 22
44.0, 23
55.7, 21
60.5, 18



No. 3
Calculated XRD peak list
Compound: Er4S3
Radiation: Cu Ka
Structure: a crystal structure in Alexandria, relaxed with PBE
Lines closer than 0.1° are merged.

Structural model:
Cell: 12.7726 12.7726 12.7726 Å, 17.07 17.07 17.07°
Atoms (fractional coordinates):
Er 0.1218 0.1218 0.1218
Er 0.3714 0.3714 0.3714
Er 0.6286 0.6286 0.6286
Er 0.8782 0.8782 0.8782
S 0.2523 0.2523 0.2523
S 0.5000 0.5000 0.5000
S 0.7477 0.7477 0.7477

Peak list (10 most intense, 2θ from 10° to 90°, sorted by position)
2θ (°), I_rel
28.4, 26
28.8, 80
33.2, 100
47.5, 34
48.0, 36
56.7, 24
56.9, 12
59.6, 18
79.1, 15
79.9, 16



No. 4
Calculated XRD peak list
Compound: CdNCl3
Radiation: Cu Ka
Structure: a crystal structure in Alexandria, relaxed with PBE
Lines closer than 0.1° are merged.

Structural model:
Cell: 6.7415 6.7415 7.0557 Å, 90.00 90.00 71.02°
Atoms (fractional coordinates):
Cd 0.0000 0.0000 0.0000
Cd 0.0000 0.0000 0.5000
N 0.2828 0.7172 0.7500
N 0.7172 0.2828 0.2500
Cl 0.0611 0.2531 0.7500
Cl 0.2531 0.0611 0.2500
Cl 0.4845 0.5155 0.7500
Cl 0.5155 0.4845 0.2500
Cl 0.7469 0.9389 0.7500
Cl 0.9389 0.7469 0.2500

Peak list (10 most intense, 2θ from 10° to 90°, sorted by position)
2θ (°), I_rel
13.9, 100
16.2, 59
22.7, 38
26.0, 14
28.0, 27
28.9, 44
37.2, 67
38.0, 15
43.9, 21
50.3, 12



No. 5
Calculated XRD peak list
Compound: Er6GaAg5
Radiation: Cu Ka
Structure: a crystal structure in Alexandria, relaxed with PBE
Lines closer than 0.1° are merged.

Structural model:
Cell: 8.0191 8.0191 7.2253 Å, 90.00 90.00 143.12°
Atoms (fractional coordinates):
Er 0.0000 0.0000 0.2490
Er 0.0000 0.0000 0.7510
Er 0.3346 0.6654 0.2495
Er 0.3346 0.6654 0.7505
Er 0.6654 0.3346 0.2495
Er 0.6654 0.3346 0.7505
Ga 0.5000 0.5000 0.0000
Ag 0.1657 0.8343 0.0000
Ag 0.1679 0.8321 0.5000
Ag 0.5000 0.5000 0.5000
Ag 0.8321 0.1679 0.5000
Ag 0.8343 0.1657 0.0000

Peak list (10 most intense, 2θ from 10° to 90°, sorted by position)
2θ (°), I_rel
24.8, 6
35.3, 100
35.4, 49
50.5, 9
50.9, 17
63.2, 18
63.5, 35
74.6, 11
85.0, 8
85.6, 16



No. 6
Calculated XRD peak list
Compound: Rb4YU3O12
Radiation: Cu Ka
Structure: a crystal structure in Alexandria, relaxed with PBE
Lines closer than 0.1° are merged.

Structural model:
Cell: 7.5467 7.5467 7.5467 Å, 109.47 109.47 109.47°
Atoms (fractional coordinates):
Rb 0.0000 0.0000 0.5000
Rb 0.0000 0.5000 0.0000
Rb 0.5000 0.0000 0.0000
Rb 0.5000 0.5000 0.5000
Y 0.0000 0.0000 0.0000
U 0.0000 0.5000 0.5000
U 0.5000 0.0000 0.5000
U 0.5000 0.5000 0.0000
O 0.0000 0.2662 0.2662
O 0.0000 0.7338 0.7338
O 0.2500 0.5000 0.7500
O 0.2500 0.7500 0.5000
O 0.2662 0.0000 0.2662
O 0.2662 0.2662 0.0000
O 0.5000 0.2500 0.7500
O 0.5000 0.7500 0.2500
O 0.7338 0.0000 0.7338
O 0.7338 0.7338 0.0000
O 0.7500 0.2500 0.5000
O 0.7500 0.5000 0.2500

Peak list (10 most intense, 2θ from 10° to 90°, sorted by position)
2θ (°), I_rel
14.4, 9
20.4, 26
29.0, 100
41.4, 30
46.6, 12
51.4, 42
60.1, 19
68.0, 19
75.6, 6
82.9, 23